Theoretical PXRD pattern
Compound: SrVSb2O8
Radiation: a wavelength of 1.5418 Å
Structure: DFT lattice parameters and positions (PBE+U)
Lines closer than 0.1° are merged.

The 10 most intense peaks (10° ≤ 2θ ≤ 90°), in order of rising 2θ:
index, 2θ/deg, I_rel
0 0 1, 18.14, 25
1 0 -1, 24.74, 78
1 0 1, 26.75, 59
0 2 1, 33.13, 100
2 0 0, 36.75, 27
1 2 -1, 37.31, 13
1 2 -2, 49.16, 53
1 2 2, 51.44, 39
3 2 0, 63.90, 27
4 2 -1, 85.78, 15

Structural model:
a b c (Å): 4.905 6.490 4.905
angles (deg): 90.00 94.40 90.00
Fractional positions:
Sr1 0.000 0.000 0.000
V1 0.000 0.500 0.000
Sb1 0.500 0.258 0.500
Sb2 0.500 0.742 0.500
O1 0.186 0.293 0.223
O2 0.186 0.707 0.223
O3 0.318 0.500 0.708
O4 0.353 0.000 0.689
O5 0.647 0.000 0.311
O6 0.682 0.500 0.292
O7 0.814 0.293 0.777
O8 0.814 0.707 0.777